The following is a calculated X-ray diffraction stick pattern of Pr2NpMn2N6. It was derived from a PBE-relaxed structure, using Cu Kα (weighted mean of Kα1 and Kα2).
Peak positions follow from Bragg's law for the DFT cell and can differ from measured ones.

The 10 most intense peaks (10 to 90 degrees two-theta), by angle:
2θ/deg	I/Imax
18.44	34
28.04	51
30.78	100
32.55	65
42.12	28
45.40	27
53.06	19
54.72	20
55.85	29
59.84	29

Cell and atoms:
abc: 6.4218 6.4218 6.4218
angles: 53.80 53.80 53.80
Positions (direct):
Pr 0.2139 0.2139 0.2139
Pr 0.7861 0.7861 0.7861
Np 0.0000 0.0000 0.0000
Mn 0.4395 0.4395 0.4395
Mn 0.5605 0.5605 0.5605
N 0.2383 0.7519 0.7519
N 0.2481 0.2481 0.7617
N 0.2481 0.7617 0.2481
N 0.7519 0.2383 0.7519
N 0.7519 0.7519 0.2383
N 0.7617 0.2481 0.2481



The following is a calculated X-ray diffraction stick pattern of Ho4Pb3S8. It was derived from a PBE-relaxed structure, using Cu Kα (weighted mean of Kα1 and Kα2).
Peak positions follow from Bragg's law for the DFT cell and can differ from measured ones.

The 10 most intense peaks (10 to 90 degrees two-theta), by angle:
2θ/deg	I/Imax
26.74	62
27.19	59
31.14	51
31.29	100
44.16	19
44.71	37
44.83	37
53.24	21
55.10	20
56.08	19

Cell and atoms:
abc: 8.0877 8.0877 8.0060
angles: 119.49 119.49 90.05
Positions (direct):
Ho 0.0000 0.0000 0.0000
Ho 0.0000 0.0000 0.5000
Ho 0.0000 0.5000 0.0000
Ho 0.5000 0.0000 0.0000
Pb 0.0000 0.5000 0.5000
Pb 0.5000 0.0000 0.5000
Pb 0.5000 0.5000 0.5000
S 0.2274 0.2274 0.4759
S 0.2347 0.2347 0.9834
S 0.2404 0.7596 0.5000
S 0.2423 0.7577 0.0000
S 0.7577 0.2423 0.0000
S 0.7596 0.2404 0.5000
S 0.7653 0.7653 0.0166
S 0.7726 0.7726 0.5241



The following is a calculated X-ray diffraction stick pattern of La4Pr15Cd. It was derived from a PBE-relaxed structure, using Cu Kα (weighted mean of Kα1 and Kα2).
Peak positions follow from Bragg's law for the DFT cell and can differ from measured ones.

The 10 most intense peaks (10 to 90 degrees two-theta), by angle:
2θ/deg	I/Imax
29.65	100
34.27	16
34.42	34
49.36	23
49.46	12
58.54	13
58.73	29
61.56	12
80.11	10
80.27	6

Cell and atoms:
abc: 5.2118 5.2118 26.1655
angles: 90.00 90.00 90.00
Positions (direct):
La 0.0000 0.0000 0.1014
La 0.0000 0.0000 0.3044
La 0.0000 0.0000 0.6956
La 0.0000 0.0000 0.8986
Pr 0.0000 0.5000 0.0000
Pr 0.0000 0.5000 0.2030
Pr 0.0000 0.5000 0.4053
Pr 0.0000 0.5000 0.5947
Pr 0.0000 0.5000 0.7970
Pr 0.5000 0.0000 0.0000
Pr 0.5000 0.0000 0.2030
Pr 0.5000 0.0000 0.4053
Pr 0.5000 0.0000 0.5947
Pr 0.5000 0.0000 0.7970
Pr 0.5000 0.5000 0.1020
Pr 0.5000 0.5000 0.3060
Pr 0.5000 0.5000 0.5000
Pr 0.5000 0.5000 0.6940
Pr 0.5000 0.5000 0.8980
Cd 0.0000 0.0000 0.5000



The following is a calculated X-ray diffraction stick pattern of Sc6ZnCu5. It was derived from a PBE-relaxed structure, using Cu Kα (weighted mean of Kα1 and Kα2).
Peak positions follow from Bragg's law for the DFT cell and can differ from measured ones.

The 10 most intense peaks (10 to 90 degrees two-theta), by angle:
2θ/deg	I/Imax
27.13	6
38.69	26
38.81	25
38.98	100
55.96	16
56.65	8
70.22	15
70.37	15
70.75	15
83.71	9

Cell and atoms:
abc: 7.3404 7.3404 6.4996
angles: 90.00 90.00 143.03
Positions (direct):
Sc 0.0000 0.0000 0.2453
Sc 0.0000 0.0000 0.7547
Sc 0.3311 0.6689 0.2481
Sc 0.3311 0.6689 0.7519
Sc 0.6689 0.3311 0.2481
Sc 0.6689 0.3311 0.7519
Zn 0.5000 0.5000 0.5000
Cu 0.1626 0.8374 0.5000
Cu 0.1657 0.8343 0.0000
Cu 0.5000 0.5000 0.0000
Cu 0.8343 0.1657 0.0000
Cu 0.8374 0.1626 0.5000



Q: Number 2 is which compound?
A: Ho4Pb3S8



Q: Number 2 is which compound?
A: Ho4Pb3S8